Starting from a DFT-relaxed cell (GGA+U, Alexandria), the X-ray diffraction stick pattern of MnAlB2Pb2O8 was calculated for Cu Ka.

Largest 10 diffraction maxima, by angle, 2θ from 10° to 90°:
index	d_spacing	I/Imax
1 0 0	4.961	100.0
1 0 -2	4.764	42.8
0 2 0	3.568	62.6
0 2 1	3.271	52.8
1 1 1	3.123	61.4
1 2 -1	3.064	47.9
1 1 -3	3.024	85.8
1 2 0	2.893	43.4
2 1 -3	2.594	46.3
0 1 3	2.570	49.1

Structural model:
Cell lengths 6.0134, 7.1229, 10.0187 Å; angles 90.00, 124.41, 90.00 degrees
Positions (direct):
Mn 0.0000 0.0000 0.0000
Mn 0.0000 0.5000 0.5000
Al 0.5000 0.0000 0.0000
Al 0.5000 0.5000 0.5000
B 0.4977 0.2185 0.2631
B 0.4977 0.2815 0.7631
B 0.5023 0.7185 0.2369
B 0.5023 0.7815 0.7369
Pb 0.0917 0.0712 0.3592
Pb 0.0917 0.4288 0.8592
Pb 0.9083 0.5712 0.1408
Pb 0.9083 0.9288 0.6408
O 0.1497 0.0963 0.8892
O 0.1497 0.4037 0.3892
O 0.2262 0.1688 0.1880
O 0.2262 0.3312 0.6880
O 0.3705 0.6636 0.3086
O 0.3705 0.8364 0.8086
O 0.3751 0.6826 0.5942
O 0.3751 0.8174 0.0942
O 0.6249 0.1826 0.9058
O 0.6249 0.3174 0.4058
O 0.6295 0.1636 0.1914
O 0.6295 0.3364 0.6914
O 0.7738 0.6688 0.3120
O 0.7738 0.8312 0.8120
O 0.8503 0.5963 0.6108
O 0.8503 0.9037 0.1108



Starting from a DFT-relaxed cell (GGA+U, Alexandria), the X-ray diffraction stick pattern of YMn2AlB2O8 was calculated for Cu Ka.

Largest 10 diffraction maxima, by angle, 2θ from 10° to 90°:
index	d_spacing	I/Imax
0 1 1	6.805	21.0
0 1 2	4.237	39.3
0 1 3	2.981	25.2
1 2 -1	2.787	100.0
0 3 2	2.697	34.4
1 2 0	2.673	16.6
0 2 3	2.643	44.4
1 3 2	1.886	14.6
2 0 -2	1.687	17.3
1 4 -4	1.679	14.6

Structural model:
Cell lengths 3.3748, 9.8892, 9.9506 Å; angles 90.00, 109.52, 90.00 degrees
Positions (direct):
Y 0.0000 0.1422 0.0000
Y 0.0000 0.8578 0.5000
Mn 0.2462 0.3517 0.7611
Mn 0.2462 0.6483 0.2611
Mn 0.4090 0.1697 0.4017
Mn 0.4090 0.8303 0.9017
Al 0.6975 0.3694 0.1630
Al 0.6975 0.6306 0.6630
B 0.7146 0.0629 0.7151
B 0.7146 0.9371 0.2151
B 0.8710 0.4186 0.4595
B 0.8710 0.5814 0.9595
O 0.2197 0.2808 0.2032
O 0.2197 0.7192 0.7032
O 0.4823 0.2834 0.9841
O 0.4823 0.7166 0.4841
O 0.5761 0.0146 0.5768
O 0.5761 0.9854 0.0768
O 0.7415 0.1994 0.7518
O 0.7415 0.8006 0.2518
O 0.7654 0.4839 0.3264
O 0.7654 0.5161 0.8264
O 0.8379 0.0280 0.3277
O 0.8379 0.9720 0.8277
O 0.8635 0.4802 0.5842
O 0.8635 0.5198 0.0842
O 0.9877 0.2850 0.4733
O 0.9877 0.7150 0.9733